Starting from DFT lattice parameters and positions (PBE), the powder diffractogram of Sr2La2MgRu3O12 was simulated for copper Kα.
Kinematic intensities with the Lorentz-polarization factor, no thermal factor.

Largest 10 diffraction maxima, low angle first, 2θ = 15–90°:
d (Å)	I_rel	h k l
4.598	11	0 1 1
2.823	48	2 0 0
2.812	100	1 1 -2
1.996	29	2 2 0
1.980	14	0 0 4
1.629	30	1 3 -2
1.625	9	3 1 -2
1.622	15	0 2 4
1.405	8	2 2 -4
1.261	9	3 3 -2

```
20
Lattice="5.640 0.000 0.000 0.002 5.654 0.000 0.019 0.003 7.920" Properties=species:S:1:pos:R:3 pbc="T T T"
Sr 0.000 0.000 0.000
Sr 2.543 2.855 3.860
La 2.827 2.936 0.022
La 5.324 0.142 3.831
Mg 2.665 0.053 1.928
Ru 2.691 0.060 5.885
Ru 5.498 2.874 1.922
Ru 5.509 2.887 5.894
O 1.099 1.292 5.508
O 1.087 1.324 2.262
O 1.413 4.096 1.590
O 1.463 4.111 6.269
O 2.633 0.541 7.818
O 2.784 5.328 3.969
O 3.986 1.591 5.509
O 4.005 1.582 2.247
O 4.205 4.405 6.275
O 4.202 4.363 1.629
O 5.424 2.460 7.873
O 5.552 3.378 3.901
```